[1]
Structure and simulated powder diffractogram of Ba4LaMo (a crystal structure in Alexandria, relaxed with PBE; λ = 1.5418 Å (Cu Kα)).
Lines closer than 0.1° are merged.

Atomic structure:
Cell: 10.382 10.382 10.382 Å, 90.00 90.00 90.00°
Space group F-43m (No. 216)
Symmetry-distinct sites (fractional):
Ba: 0.125 0.125 0.125 x16
La: 0.250 0.250 0.750 x4
Mo: 0.000 0.000 0.500 x4

Main lines, by intensity (2θ = 10–90°):
Position (°2θ)  d_spacing  Rel. int.  hkl
28.52  3.130  100.0  3 1 1
29.81  2.997  44.7  2 2 2
45.39  1.998  36.8  5 1 1
49.68  1.835  33.1  4 4 0
69.56  1.352  23.2  7 3 1
24.25  3.670  22.5  2 2 0
59.02  1.565  19.0  6 2 2
58.28  1.583  13.1  5 3 3
80.05  1.199  12.4  7 5 1
42.67  2.119  9.9  4 2 2

[2]
Structure and simulated powder diffractogram of BaLaMoN3 (a crystal structure in Alexandria, relaxed with PBE; λ = 1.5418 Å (Cu Kα)).
Lines closer than 0.1° are merged.

Atomic structure:
Cell: 13.960 4.082 7.704 Å, 90.00 105.80 90.00°
Space group C2/m (No. 12)
Symmetry-distinct sites (fractional):
Ba: 0.139 0.000 0.072 x4
La: 0.154 0.000 0.575 x4
Mo: 0.000 0.500 0.299 x4
N: 0.005 0.000 0.296 x4
N: 0.143 0.500 0.799 x4
N: 0.154 0.500 0.354 x4

Main lines, by intensity (2θ = 10–90°):
Position (°2θ)  d_spacing  Rel. int.  hkl
31.94  2.802  100.0  1 1 -2
29.61  3.017  85.9  3 1 0
30.56  2.926  42.4  2 0 2
30.67  2.915  41.4  4 0 -2
54.88  1.673  35.5  2 2 2
44.38  2.041  24.5  0 2 0
40.28  2.239  20.4  6 0 0
52.40  1.746  17.2  7 1 -2
52.23  1.751  14.5  5 1 2
47.19  1.926  13.3  2 0 -4